Computed powder XRD pattern of AcTbGdMg for CuKα, from DFT lattice parameters and positions (GGA-PBE).
Intensities are scaled so that the largest is 100.

Top 10 peaks for 10 to 90 degrees two-theta, sorted by position:
2θ = 19.0°, I = 27; 2θ = 31.3°, I = 100; 2θ = 36.9°, I = 16; 2θ = 44.9°, I = 19; 2θ = 49.1°, I = 7; 2θ = 55.7°, I = 40; 2θ = 59.4°, I = 6; 2θ = 65.3°, I = 12; 2θ = 68.7°, I = 5; 2θ = 74.2°, I = 17

Crystal structure
Cell lengths 5.7146, 5.7146, 5.7146 Å; angles 60.00, 60.00, 60.00 degrees
Fractional positions:
Ac: 0.0000 0.0000 0.0000
Tb: 0.7500 0.7500 0.7500
Gd: 0.2500 0.2500 0.2500
Mg: 0.5000 0.5000 0.5000